For Li3MnVP3O12, a crystal structure in the Materials Project, relaxed with PBE+U gives the theoretical XRD peak list in this record (CuKα).
Peak positions follow from Bragg's law for the DFT cell and can differ from measured ones.

Largest 10 diffraction maxima, by angle, 2θ = 10–90°:
2θ/deg	I/Imax
13.9	37
15.8	39
16.6	100
25.3	26
26.0	23
27.9	17
29.3	62
31.7	19
32.0	35
32.7	51

Cell and atoms:
a b c (Å): 8.6519 8.6519 6.3349
angles (deg): 105.90 105.90 95.19
Element x y z (fractional)
Li: 0.0000 0.0000 0.0000
Li: 0.2876 0.7124 0.5000
Li: 0.4978 0.4997 0.7470
Li: 0.5003 0.5022 0.2530
Li: 0.7093 0.2907 0.0000
Li: 0.9944 0.0056 0.5000
Mn: 0.3730 0.0594 0.3801
Mn: 0.9406 0.6270 0.6199
V: 0.0553 0.3794 0.8916
V: 0.6206 0.9447 0.1084
P: 0.1327 0.3364 0.3861
P: 0.2853 0.7147 0.0000
P: 0.3375 0.1403 0.8855
P: 0.6636 0.8673 0.6139
P: 0.7122 0.2878 0.5000
P: 0.8597 0.6625 0.1145
O: 0.0087 0.3460 0.1610
O: 0.0507 0.3918 0.5798
O: 0.1438 0.1514 0.3440
O: 0.1557 0.1597 0.8621
O: 0.1703 0.7386 0.7781
O: 0.2614 0.8297 0.2219
O: 0.2617 0.5407 0.0228
O: 0.2940 0.4530 0.4548
O: 0.3348 0.0167 0.6531
O: 0.3990 0.0494 0.0729
O: 0.4557 0.3001 0.9574
O: 0.4593 0.7383 0.9772
O: 0.5353 0.2632 0.5174
O: 0.5470 0.7060 0.5452
O: 0.6082 0.9493 0.4202
O: 0.6540 0.9913 0.8390
O: 0.6999 0.5443 0.0426
O: 0.7368 0.4647 0.4826
O: 0.7390 0.1757 0.2809
O: 0.8243 0.2610 0.7191
O: 0.8403 0.8443 0.1379
O: 0.8486 0.8562 0.6560
O: 0.9506 0.6010 0.9271
O: 0.9833 0.6652 0.3469

=====

For Li6MnV3P6O24, a crystal structure in the Materials Project, relaxed with PBE+U gives the theoretical XRD peak list in this record (CuKα).
Peak positions follow from Bragg's law for the DFT cell and can differ from measured ones.

Largest 10 diffraction maxima, by angle, 2θ = 10–90°:
2θ/deg	I/Imax
14.3	65
19.7	62
24.0	100
28.9	43
31.6	66
32.5	17
36.7	18
38.6	16
49.2	16
51.9	18

Cell and atoms:
a b c (Å): 9.0451 9.0451 9.0451
angles (deg): 55.93 55.93 55.93
Element x y z (fractional)
Li: 0.0165 0.6220 0.3615
Li: 0.2078 0.5424 0.9524
Li: 0.3615 0.0165 0.6220
Li: 0.5424 0.9524 0.2078
Li: 0.6220 0.3615 0.0165
Li: 0.9524 0.2078 0.5424
Mn: 0.1377 0.1377 0.1377
V: 0.4297 0.4297 0.4297
V: 0.6322 0.6322 0.6322
V: 0.9346 0.9346 0.9346
P: 0.0344 0.3257 0.7411
P: 0.2423 0.8213 0.5379
P: 0.3257 0.7411 0.0344
P: 0.5379 0.2423 0.8213
P: 0.7411 0.0344 0.3257
P: 0.8213 0.5379 0.2423
O: 0.0240 0.4155 0.1497
O: 0.0751 0.1286 0.7445
O: 0.0822 0.2977 0.8905
O: 0.1183 0.7845 0.7536
O: 0.1286 0.7445 0.0751
O: 0.1497 0.0240 0.4155
O: 0.1627 0.4193 0.5339
O: 0.2806 0.6663 0.4830
O: 0.2977 0.8905 0.0822
O: 0.4155 0.1497 0.0240
O: 0.4193 0.5339 0.1627
O: 0.4393 0.8162 0.4974
O: 0.4517 0.7690 0.8196
O: 0.4830 0.2806 0.6663
O: 0.4974 0.4393 0.8162
O: 0.5339 0.1627 0.4193
O: 0.6663 0.4830 0.2806
O: 0.7445 0.0751 0.1286
O: 0.7536 0.1183 0.7845
O: 0.7690 0.8196 0.4517
O: 0.7845 0.7536 0.1183
O: 0.8162 0.4974 0.4393
O: 0.8196 0.4517 0.7690
O: 0.8905 0.0822 0.2977

=====

For LiMnVP4O14, a crystal structure in the Materials Project, relaxed with PBE+U gives the theoretical XRD peak list in this record (CuKα).
Peak positions follow from Bragg's law for the DFT cell and can differ from measured ones.

Largest 10 diffraction maxima, by angle, 2θ = 10–90°:
2θ/deg	I/Imax
16.9	100
17.4	87
22.2	38
22.3	35
22.7	37
26.8	35
29.1	73
29.4	25
29.8	44
30.1	20

Cell and atoms:
a b c (Å): 7.0410 8.1865 9.6975
angles (deg): 89.19 71.49 88.01
Element x y z (fractional)
Li: 0.0000 0.0000 0.0000
Li: 0.3422 0.4951 0.3284
Mn: 0.3927 0.1299 0.3119
Mn: 0.4047 0.1445 0.8064
V: 0.9462 0.6431 0.5244
V: 0.9517 0.6329 0.0168
P: 0.1481 0.3150 0.1183
P: 0.1531 0.3130 0.6154
P: 0.1863 0.8162 0.7178
P: 0.1875 0.8191 0.2147
P: 0.5787 0.9183 0.0252
P: 0.5811 0.9179 0.5255
P: 0.7583 0.4243 0.8070
P: 0.7622 0.4286 0.3093
O: 0.0641 0.8061 0.1084
O: 0.0649 0.7988 0.6107
O: 0.1436 0.6734 0.8268
O: 0.1518 0.6749 0.3234
O: 0.1526 0.4851 0.0486
O: 0.1573 0.4823 0.5403
O: 0.1592 0.9816 0.7911
O: 0.1656 0.9853 0.2814
O: 0.1888 0.1764 0.0076
O: 0.2007 0.1760 0.5037
O: 0.2807 0.3120 0.7170
O: 0.2810 0.3138 0.2171
O: 0.4167 0.7904 0.6198
O: 0.4213 0.7860 0.1168
O: 0.5261 0.9643 0.8879
O: 0.5323 0.9590 0.3853
O: 0.5600 0.3521 0.3536
O: 0.5649 0.3376 0.8572
O: 0.5788 0.0681 0.1194
O: 0.5812 0.0691 0.6156
O: 0.7648 0.5772 0.7100
O: 0.7705 0.5783 0.2081
O: 0.7762 0.8151 0.4846
O: 0.7827 0.8259 0.9865
O: 0.8269 0.4760 0.9370
O: 0.8323 0.4779 0.4374
O: 0.9191 0.2882 0.2193
O: 0.9236 0.2902 0.7151

=====

What is the formula in the first record?
Li3MnVP3O12